Calculated powder diffraction line list of Li4VO4 for copper Kα, from a DFT-relaxed cell (PBE+U, Alexandria).

Crystal structure
Cell: 5.4392 5.4392 5.4392 Å, 125.32 125.32 81.02°
Fractional coordinates of all 9 atoms:
1 Li 0.0000 0.5000 0.5000
2 Li 0.1840 0.1840 0.0000
3 Li 0.5000 0.0000 0.5000
4 Li 0.8160 0.8160 0.0000
5 V 0.5000 0.5000 0.0000
6 O 0.1681 0.6178 0.0000
7 O 0.3822 0.3822 0.5503
8 O 0.6178 0.1681 0.0000
9 O 0.8319 0.8319 0.4497

Most intense lines, 2θ from 5° to 70°, by intensity:
20.77 deg, rel. 100
33.36 deg, rel. 50
21.49 deg, rel. 37
25.21 deg, rel. 28
37.25 deg, rel. 21
52.73 deg, rel. 20
57.89 deg, rel. 20
51.75 deg, rel. 19